NiHg2HO: computed PXRD pattern (λ = 1.5418 Å (Cu Kα)), based on a DFT-relaxed cell (GGA+U, Alexandria).
No peak broadening, texture or thermal motion is included.

Cell and atoms:
```
NiHg2HO
1.0
4.9208 0.0000 0.0000
0.0000 4.9208 0.0000
0.0000 0.0000 3.7695
Ni Hg H O
1 2 1 1
direct
0.0000 0.0000 0.0000
0.0000 0.5000 0.5000
0.5000 0.0000 0.5000
0.5000 0.5000 0.0000
0.0000 0.0000 0.5000
```

The 10 most intense peaks (10° ≤ 2θ ≤ 80°), by intensity:
(1 1 1), d 2.557, I 100
(1 1 0), d 3.480, I 54
(2 0 0), d 2.460, I 52
(0 0 1), d 3.769, I 41
(3 1 1), d 1.438, I 34
(2 0 1), d 2.060, I 33
(2 0 2), d 1.496, I 22
(2 2 0), d 1.740, I 18
(2 2 1), d 1.580, I 14
(1 1 2), d 1.657, I 14